Starting from a crystal structure in Alexandria, relaxed with GGA-PBE, the X-ray diffraction stick pattern of Ac3Zn3Rh was computed for λ = 1.5418 Å (Cu Kα).
No peak broadening, texture or thermal motion is included.

Principal peaks in the range 15 to 90 degrees two-theta, in order of rising 2θ:
| 2θ (°) | d [Å] | intensity |
| --- | --- | --- |
| 21.75 | 4.086 | 39 |
| 23.99 | 3.710 | 52 |
| 29.81 | 2.997 | 86 |
| 30.58 | 2.923 | 47 |
| 30.82 | 2.901 | 84 |
| 31.33 | 2.855 | 100 |
| 34.51 | 2.599 | 38 |
| 36.20 | 2.481 | 47 |
| 43.35 | 2.087 | 51 |
| 47.81 | 1.903 | 44 |

```
Ac3Zn3Rh
1.0
5.8723 -2.0875 0.0000
5.8723 2.0875 0.0000
-4.3515 0.0000 15.5916
Ac Zn Rh
6 6 2
Cartesian
-1.4626 0.0000 6.0695
-2.6074 0.0000 14.3951
1.7247 0.0000 3.7667
5.6683 0.0000 11.8250
10.0005 0.0000 1.1965
8.8556 0.0000 9.5221
1.6916 0.0000 7.2524
0.7308 0.0000 14.3624
2.2769 0.0000 11.9838
5.1161 0.0000 3.6079
6.6622 0.0000 1.2292
5.7015 0.0000 8.3393
0.6085 0.0000 9.7976
6.7845 0.0000 5.7940
```

***

Starting from a crystal structure in Alexandria, relaxed with GGA-PBE, the X-ray diffraction stick pattern of CeErPdPt was computed for λ = 1.5418 Å (Cu Kα).
No peak broadening, texture or thermal motion is included.

Principal peaks in the range 15 to 90 degrees two-theta, in order of rising 2θ:
| 2θ (°) | d [Å] | intensity |
| --- | --- | --- |
| 32.12 | 2.787 | 100 |
| 33.78 | 2.654 | 32 |
| 34.98 | 2.565 | 13 |
| 39.25 | 2.295 | 19 |
| 39.40 | 2.287 | 33 |
| 40.31 | 2.237 | 71 |
| 48.91 | 1.862 | 18 |
| 52.85 | 1.732 | 18 |
| 64.53 | 1.444 | 15 |
| 66.90 | 1.399 | 13 |

```
CeErPdPt
1.0
4.5736 0.0000 0.0000
0.0000 1.8624 5.3075
0.0000 -1.8624 5.3075
Ce Er Pd Pt
1 1 1 1
Cartesian
0.0000 0.0000 0.0000
2.2868 0.0000 2.9037
2.2868 0.0000 5.8107
0.0000 0.0000 7.7224
```

***

Starting from a crystal structure in Alexandria, relaxed with GGA-PBE, the X-ray diffraction stick pattern of As3Ir4 was computed for λ = 1.5418 Å (Cu Kα).
No peak broadening, texture or thermal motion is included.

Principal peaks in the range 15 to 90 degrees two-theta, in order of rising 2θ:
| 2θ (°) | d [Å] | intensity |
| --- | --- | --- |
| 32.09 | 2.790 | 16 |
| 38.44 | 2.342 | 100 |
| 42.94 | 2.106 | 36 |
| 43.67 | 2.073 | 50 |
| 53.80 | 1.704 | 11 |
| 63.47 | 1.466 | 17 |
| 71.71 | 1.316 | 15 |
| 76.71 | 1.242 | 27 |
| 79.71 | 1.203 | 12 |
| 87.87 | 1.111 | 10 |

```
As3Ir4
1.0
-1.4656 1.4656 13.6289
1.4656 -1.4656 13.6289
1.4656 1.4656 -13.6289
As Ir
3 4
Cartesian
0.0000 0.0000 0.0000
0.0000 0.0000 8.4671
0.0000 0.0000 18.7906
0.0000 0.0000 3.6699
0.0000 0.0000 12.0108
0.0000 0.0000 15.2469
0.0000 0.0000 23.5878
```

***

Starting from a crystal structure in Alexandria, relaxed with GGA-PBE, the X-ray diffraction stick pattern of Np4Pd was computed for λ = 1.5418 Å (Cu Kα).
No peak broadening, texture or thermal motion is included.

Principal peaks in the range 15 to 90 degrees two-theta, in order of rising 2θ:
| 2θ (°) | d [Å] | intensity |
| --- | --- | --- |
| 16.49 | 5.376 | 5 |
| 28.76 | 3.104 | 100 |
| 33.33 | 2.688 | 83 |
| 47.85 | 1.901 | 62 |
| 56.79 | 1.621 | 47 |
| 59.57 | 1.552 | 22 |
| 70.00 | 1.344 | 10 |
| 77.37 | 1.233 | 20 |
| 79.77 | 1.202 | 29 |
| 89.25 | 1.097 | 23 |

```
Np4Pd
1.0
5.3763 0.0000 0.0000
0.0000 5.3763 0.0000
0.0000 0.0000 5.3763
Np Pd
4 1
Cartesian
0.0000 0.0000 0.0000
0.0000 2.6882 2.6882
2.6882 0.0000 2.6882
2.6882 2.6882 0.0000
2.6882 2.6882 2.6882
```

***

Starting from a crystal structure in Alexandria, relaxed with GGA-PBE, the X-ray diffraction stick pattern of Na8B11C5 was computed for λ = 1.5418 Å (Cu Kα).
No peak broadening, texture or thermal motion is included.

Principal peaks in the range 15 to 90 degrees two-theta, in order of rising 2θ:
| 2θ (°) | d [Å] | intensity |
| --- | --- | --- |
| 34.76 | 2.581 | 12 |
| 36.51 | 2.461 | 16 |
| 40.80 | 2.212 | 51 |
| 42.10 | 2.146 | 38 |
| 42.33 | 2.135 | 100 |
| 56.92 | 1.618 | 9 |
| 63.46 | 1.466 | 18 |
| 77.12 | 1.237 | 16 |
| 79.12 | 1.210 | 17 |
| 81.33 | 1.183 | 10 |

```
Na8B11C5
1.0
5.1612 0.0000 0.0000
0.0000 2.8003 0.0000
-0.0024 0.0000 17.1702
Na B C
8 11 5
Cartesian
0.0000 0.0000 0.0000
5.1602 0.0000 4.2933
0.0090 0.0000 8.4998
0.0086 0.0000 12.8294
2.5796 1.4001 8.5146
2.5910 1.4001 4.3092
2.5892 1.4001 12.8299
2.5998 1.4001 17.1437
0.7103 1.4001 14.9920
0.7861 1.4001 2.1457
0.8991 1.4001 6.4062
1.6607 0.0000 10.6662
1.8099 0.0000 14.9896
1.8870 0.0000 2.1450
3.3653 0.0000 10.6689
3.4804 0.0000 6.4063
3.5169 0.0000 14.9929
4.2442 1.4001 2.1443
4.4666 1.4001 10.6667
0.8491 1.4001 10.6638
1.7419 0.0000 6.4095
3.4324 0.0000 2.1447
4.3228 1.4001 6.4038
4.3266 1.4001 14.9943
```

***

Starting from a crystal structure in Alexandria, relaxed with GGA-PBE, the X-ray diffraction stick pattern of MgTl6S4 was computed for λ = 1.5418 Å (Cu Kα).
No peak broadening, texture or thermal motion is included.

Principal peaks in the range 15 to 90 degrees two-theta, in order of rising 2θ:
| 2θ (°) | d [Å] | intensity |
| --- | --- | --- |
| 17.06 | 5.197 | 27 |
| 23.38 | 3.805 | 71 |
| 26.91 | 3.313 | 23 |
| 29.09 | 3.070 | 100 |
| 32.04 | 2.794 | 91 |
| 32.38 | 2.765 | 29 |
| 34.52 | 2.598 | 66 |
| 43.07 | 2.100 | 36 |
| 52.41 | 1.746 | 31 |
| 55.51 | 1.655 | 34 |

```
MgTl6S4
1.0
10.3931 0.0000 0.0000
-5.1966 9.0007 0.0000
0.0000 0.0000 7.1263
Mg Tl S
2 12 8
Cartesian
0.0000 6.0005 0.0000
5.1966 3.0002 3.5632
-2.0547 4.8142 2.6991
0.0000 2.7773 5.0955
-2.7913 7.6121 5.0955
2.4052 1.3887 1.5324
2.0547 4.8142 2.6991
0.0000 8.3730 2.6991
5.1966 0.6277 6.2622
3.1419 4.1865 6.2622
2.7913 7.6121 5.0955
7.9879 1.3887 1.5324
5.1966 6.2234 1.5324
7.2512 4.1865 6.2622
0.0000 3.6372 0.8305
-2.0466 7.1821 0.8305
0.0000 6.0005 4.6476
3.1499 1.8186 4.3936
2.0466 7.1821 0.8305
5.1966 3.0002 1.0845
7.2432 1.8186 4.3936
5.1966 5.3635 4.3936
```

***

Starting from a crystal structure in Alexandria, relaxed with GGA-PBE, the X-ray diffraction stick pattern of Rb2TaHgSe4 was computed for λ = 1.5418 Å (Cu Kα).
No peak broadening, texture or thermal motion is included.

Principal peaks in the range 15 to 90 degrees two-theta, in order of rising 2θ:
| 2θ (°) | d [Å] | intensity |
| --- | --- | --- |
| 25.20 | 3.534 | 100 |
| 25.49 | 3.495 | 65 |
| 28.46 | 3.136 | 71 |
| 29.38 | 3.040 | 67 |
| 32.02 | 2.795 | 55 |
| 33.54 | 2.671 | 93 |
| 37.15 | 2.420 | 61 |
| 44.91 | 2.019 | 46 |
| 45.02 | 2.014 | 40 |
| 47.07 | 1.931 | 49 |

```
Rb2TaHgSe4
1.0
0.0000 6.9301 12.3258
3.5163 0.0000 12.3258
3.5163 6.9301 0.0000
Rb Ta Hg Se
4 2 2 8
Cartesian
2.6372 5.1976 1.3905
4.3954 8.6626 7.5534
2.6372 5.1976 17.0981
4.3954 8.6626 23.2610
2.6372 5.1976 9.2443
4.3954 8.6626 15.4072
0.8791 1.7325 3.0814
6.1536 12.1277 21.5701
4.0895 3.8072 7.8731
4.0895 6.5880 10.6156
5.8477 7.2722 16.7785
5.8477 10.0530 14.0360
1.1849 3.8072 10.6156
1.1849 6.5880 7.8731
2.9431 7.2722 14.0360
2.9431 10.0530 16.7785
```